No. 1
The following is a calculated XRD peak list of MgBi3P3O13. It was derived from the GGA-PBE geometry in the Materials Project, using Cu Ka.

Structural model:
a = 8.4718 Å, b = 7.1156 Å, c = 10.9418 Å
α = 90.00°, β = 100.64°, γ = 90.00°
Positions (direct):
Mg: 0.0752 0.2500 0.1645
Mg: 0.9248 0.7500 0.8355
Bi: 0.1434 0.2500 0.7683
Bi: 0.3008 0.7500 0.4341
Bi: 0.5000 0.0000 0.0000
Bi: 0.5000 0.5000 0.0000
Bi: 0.6992 0.2500 0.5659
Bi: 0.8566 0.7500 0.2317
P: 0.1735 0.7500 0.1004
P: 0.2180 0.7500 0.7624
P: 0.2705 0.2500 0.4750
P: 0.7295 0.7500 0.5250
P: 0.7820 0.2500 0.2376
P: 0.8265 0.2500 0.8996
O: 0.0022 0.7500 0.0187
O: 0.1066 0.5821 0.7837
O: 0.1066 0.9179 0.7837
O: 0.1416 0.7500 0.2384
O: 0.1428 0.2500 0.5605
O: 0.2504 0.0756 0.3878
O: 0.2504 0.4244 0.3878
O: 0.2646 0.5651 0.0849
O: 0.2646 0.9349 0.0849
O: 0.2657 0.7500 0.6353
O: 0.3762 0.7500 0.8625
O: 0.3773 0.2500 0.8901
O: 0.4388 0.2500 0.5641
O: 0.5612 0.7500 0.4359
O: 0.6227 0.7500 0.1099
O: 0.6238 0.2500 0.1375
O: 0.7343 0.2500 0.3647
O: 0.7354 0.0651 0.9151
O: 0.7354 0.4349 0.9151
O: 0.7496 0.5756 0.6122
O: 0.7496 0.9244 0.6122
O: 0.8572 0.7500 0.4395
O: 0.8584 0.2500 0.7616
O: 0.8934 0.0821 0.2163
O: 0.8934 0.4179 0.2163
O: 0.9978 0.2500 0.9813

Principal peaks in the range 2θ = 5–70°, sorted by position:
2θ 14.9, I 51.9; 2θ 17.9, I 100.0; 2θ 24.3, I 55.9; 2θ 24.7, I 41.4; 2θ 28.9, I 43.7; 2θ 29.1, I 35.6

No. 2
The following is a calculated XRD peak list of CuPO4. It was derived from the GGA-PBE geometry in the Materials Project, using Cu Ka.

Structural model:
a = 4.8769 Å, b = 9.7542 Å, c = 8.4347 Å
α = 90.00°, β = 124.81°, γ = 90.00°
Positions (direct):
Cu: 0.2412 0.1433 0.0221
Cu: 0.2412 0.3567 0.5221
Cu: 0.7588 0.6433 0.4779
Cu: 0.7588 0.8567 0.9779
P: 0.4545 0.0913 0.7549
P: 0.4545 0.4087 0.2549
P: 0.5455 0.5913 0.7451
P: 0.5455 0.9087 0.2451
O: 0.1644 0.1188 0.7759
O: 0.1644 0.3812 0.2759
O: 0.2156 0.6286 0.5504
O: 0.2156 0.8714 0.0504
O: 0.3933 0.1710 0.5809
O: 0.3933 0.3290 0.0809
O: 0.4737 0.5645 0.2250
O: 0.4737 0.9355 0.7250
O: 0.5263 0.0645 0.2750
O: 0.5263 0.4355 0.7750
O: 0.6067 0.6710 0.9191
O: 0.6067 0.8290 0.4191
O: 0.7844 0.1286 0.9496
O: 0.7844 0.3714 0.4496
O: 0.8356 0.6188 0.7241
O: 0.8356 0.8812 0.2241

Principal peaks in the range 2θ = 5–70°, sorted by position:
2θ 15.7, I 100.0; 2θ 22.3, I 50.2; 2θ 22.4, I 52.0; 2θ 24.0, I 70.4; 2θ 30.4, I 34.9; 2θ 36.9, I 88.9

No. 3
The following is a calculated XRD peak list of Cs2ScInF6. It was derived from the GGA-PBE geometry in the Materials Project, using Cu Ka.

Structural model:
a = 6.7030 Å, b = 6.7030 Å, c = 6.7030 Å
α = 60.00°, β = 60.00°, γ = 60.00°
Positions (direct):
Cs: 0.2500 0.2500 0.2500
Cs: 0.7500 0.7500 0.7500
Sc: 0.0000 0.0000 0.0000
In: 0.5000 0.5000 0.5000
F: 0.2160 0.2160 0.7840
F: 0.2160 0.7840 0.2160
F: 0.2160 0.7840 0.7840
F: 0.7840 0.2160 0.2160
F: 0.7840 0.2160 0.7840
F: 0.7840 0.7840 0.2160

Principal peaks in the range 2θ = 5–70°, sorted by position:
2θ 26.6, I 100.0; 2θ 32.7, I 11.0; 2θ 38.0, I 35.1; 2θ 47.0, I 39.1; 2θ 54.8, I 21.6; 2θ 61.9, I 20.3

No. 4
The following is a calculated XRD peak list of Rb2TeI6. It was derived from the GGA-PBE geometry in the Materials Project, using Cu Ka.

Structural model:
a = 8.2502 Å, b = 8.2502 Å, c = 12.4123 Å
α = 90.00°, β = 90.00°, γ = 90.00°
Positions (direct):
Rb: 0.0000 0.5000 0.2500
Rb: 0.0000 0.5000 0.7500
Rb: 0.5000 0.0000 0.2500
Rb: 0.5000 0.0000 0.7500
Te: 0.0000 0.0000 0.0000
Te: 0.5000 0.5000 0.5000
I: 0.0000 0.0000 0.2400
I: 0.0000 0.0000 0.7600
I: 0.2010 0.2982 0.5000
I: 0.2018 0.2990 0.0000
I: 0.2982 0.7990 0.5000
I: 0.2990 0.7982 0.0000
I: 0.5000 0.5000 0.2600
I: 0.5000 0.5000 0.7400
I: 0.7010 0.2018 0.0000
I: 0.7018 0.2010 0.5000
I: 0.7982 0.7010 0.0000
I: 0.7990 0.7018 0.5000

Principal peaks in the range 2θ = 5–70°, sorted by position:
2θ 12.9, I 19.4; 2θ 25.9, I 100.0; 2θ 28.1, I 24.2; 2θ 28.8, I 41.3; 2θ 30.7, I 50.4; 2θ 42.5, I 39.8

No. 5
The following is a calculated XRD peak list of LiS. It was derived from the GGA-PBE geometry in the Materials Project, using Cu Ka.

Structural model:
a = 5.0233 Å, b = 5.0233 Å, c = 5.0233 Å
α = 90.00°, β = 90.00°, γ = 90.00°
Positions (direct):
Li: 0.0000 0.0000 0.0000
Li: 0.0000 0.5000 0.5000
Li: 0.5000 0.0000 0.5000
Li: 0.5000 0.5000 0.0000
S: 0.0000 0.0000 0.5000
S: 0.0000 0.5000 0.0000
S: 0.5000 0.0000 0.0000
S: 0.5000 0.5000 0.5000

Principal peaks in the range 2θ = 5–70°, sorted by position:
2θ 30.8, I 100.0; 2θ 35.7, I 88.8; 2θ 51.5, I 56.2; 2θ 61.2, I 32.6; 2θ 64.2, I 18.6

No. 6
The following is a calculated XRD peak list of CaH4SO6. It was derived from the GGA-PBE geometry in the Materials Project, using Cu Ka.

Structural model:
a = 8.1956 Å, b = 8.1956 Å, c = 5.7642 Å
α = 99.24°, β = 99.24°, γ = 133.95°
Positions (direct):
Ca: 0.1701 0.8299 0.7500
Ca: 0.8299 0.1701 0.2500
H: 0.1599 0.3400 0.7576
H: 0.2392 0.2525 0.5900
H: 0.2525 0.2392 0.0900
H: 0.3400 0.1599 0.2576
H: 0.6600 0.8401 0.7424
H: 0.7475 0.7608 0.9100
H: 0.7608 0.7475 0.4100
H: 0.8401 0.6600 0.2424
S: 0.3286 0.6714 0.2500
S: 0.6714 0.3286 0.7500
O: 0.1373 0.2772 0.5809
O: 0.1865 0.6417 0.4048
O: 0.1871 0.4180 0.0842
O: 0.2772 0.1373 0.0809
O: 0.3583 0.8135 0.0952
O: 0.4180 0.1871 0.5842
O: 0.5820 0.8129 0.4158
O: 0.6417 0.1865 0.9048
O: 0.7228 0.8627 0.9191
O: 0.8129 0.5820 0.9158
O: 0.8135 0.3583 0.5952
O: 0.8627 0.7228 0.4191

Principal peaks in the range 2θ = 5–70°, sorted by position:
2θ 11.7, I 70.7; 2θ 20.6, I 100.0; 2θ 29.1, I 72.0; 2θ 30.6, I 59.0; 2θ 32.9, I 39.0; 2θ 42.9, I 18.1

> Which formula does entry 6 have?

CaH4SO6